# 1
The following is a calculated powder X-ray diffraction pattern of Li4Mn3Cr3W2O16. It was derived from a structure optimized by DFT (PBE+U), using Cu Kα (weighted mean of Kα1 and Kα2).
Lines closer than 0.1° are merged.

Top 10 peaks for 2θ = 5–70°, sorted by position:
2θ 19.05, intensity 49
2θ 19.16, intensity 100
2θ 19.38, intensity 97
2θ 19.49, intensity 47
2θ 29.63, intensity 36
2θ 32.58, intensity 34
2θ 34.58, intensity 44
2θ 34.96, intensity 43
2θ 35.35, intensity 54
2θ 61.51, intensity 46

Cell and atoms:
Cell lengths 6.031, 6.031, 9.782 Å; angles 91.37, 91.37, 60.00 degrees
Fractional positions:
Li 0.000 0.000 0.000
Li 0.000 0.000 0.499
Li 0.339 0.339 0.078
Li 0.674 0.674 0.582
Mn 0.172 0.172 0.776
Mn 0.341 0.830 0.275
Mn 0.830 0.341 0.275
Cr 0.171 0.664 0.774
Cr 0.664 0.171 0.774
Cr 0.832 0.832 0.272
W 0.335 0.335 0.502
W 0.670 0.670 0.001
O 0.002 0.002 0.684
O 0.047 0.492 0.639
O 0.167 0.652 0.400
O 0.174 0.174 0.412
O 0.337 0.337 0.875
O 0.346 0.830 0.898
O 0.482 0.482 0.647
O 0.492 0.047 0.639
O 0.527 0.527 0.123
O 0.538 0.966 0.132
O 0.652 0.167 0.400
O 0.674 0.674 0.377
O 0.830 0.346 0.898
O 0.832 0.832 0.888
O 0.966 0.538 0.132
O 0.999 0.999 0.186

***

# 2
The following is a calculated powder X-ray diffraction pattern of Li14Cr2N8O. It was derived from a structure optimized by DFT (PBE+U), using Cu Kα (weighted mean of Kα1 and Kα2).
Lines closer than 0.1° are merged.

Top 10 peaks for 2θ = 5–70°, sorted by position:
2θ 17.62, intensity 12
2θ 20.69, intensity 100
2θ 21.61, intensity 11
2θ 28.01, intensity 10
2θ 30.76, intensity 14
2θ 32.67, intensity 23
2θ 37.35, intensity 25
2θ 49.15, intensity 17
2θ 54.68, intensity 34
2θ 68.10, intensity 10

Cell and atoms:
Cell lengths 5.813, 5.813, 8.226 Å; angles 90.00, 90.00, 120.00 degrees
Fractional positions:
Li 0.000 0.000 0.243
Li 0.000 0.000 0.757
Li 0.040 0.352 0.086
Li 0.072 0.696 0.410
Li 0.304 0.376 0.410
Li 0.313 0.960 0.086
Li 0.352 0.313 0.914
Li 0.376 0.072 0.590
Li 0.624 0.928 0.410
Li 0.648 0.687 0.086
Li 0.687 0.040 0.914
Li 0.696 0.624 0.590
Li 0.928 0.304 0.590
Li 0.960 0.648 0.914
Cr 0.333 0.667 0.739
Cr 0.667 0.333 0.261
N 0.061 0.693 0.669
N 0.307 0.368 0.669
N 0.333 0.667 0.952
N 0.368 0.061 0.331
N 0.632 0.939 0.669
N 0.667 0.333 0.048
N 0.693 0.632 0.331
N 0.939 0.307 0.331
O 0.000 0.000 0.000

***

# 3
The following is a calculated powder X-ray diffraction pattern of Li4Nb3Cr3Ni2O16. It was derived from a structure optimized by DFT (PBE+U), using Cu Kα (weighted mean of Kα1 and Kα2).
Lines closer than 0.1° are merged.

Top 10 peaks for 2θ = 5–70°, sorted by position:
2θ 18.07, intensity 100
2θ 19.10, intensity 71
2θ 19.23, intensity 43
2θ 24.79, intensity 33
2θ 32.21, intensity 37
2θ 34.83, intensity 43
2θ 35.24, intensity 58
2θ 44.10, intensity 50
2θ 58.62, intensity 37
2θ 61.25, intensity 32

Cell and atoms:
Cell lengths 6.053, 6.053, 9.816 Å; angles 90.11, 90.11, 60.62 degrees
Fractional positions:
Li 0.000 0.000 0.000
Li 0.003 0.003 0.514
Li 0.343 0.343 0.410
Li 0.675 0.675 0.881
Nb 0.182 0.182 0.724
Nb 0.350 0.844 0.224
Nb 0.844 0.350 0.224
Cr 0.180 0.673 0.723
Cr 0.673 0.180 0.723
Cr 0.843 0.843 0.224
Ni 0.352 0.352 0.984
Ni 0.683 0.683 0.523
O 0.011 0.011 0.328
O 0.011 0.011 0.820
O 0.046 0.489 0.846
O 0.169 0.169 0.112
O 0.172 0.697 0.115
O 0.332 0.857 0.611
O 0.343 0.343 0.611
O 0.489 0.046 0.846
O 0.493 0.493 0.841
O 0.523 0.979 0.339
O 0.524 0.524 0.336
O 0.676 0.676 0.111
O 0.697 0.172 0.115
O 0.852 0.852 0.614
O 0.857 0.332 0.611
O 0.979 0.523 0.339

***

# 4
The following is a calculated powder X-ray diffraction pattern of Li2NbCr3O8. It was derived from a structure optimized by DFT (PBE+U), using Cu Kα (weighted mean of Kα1 and Kα2).
Lines closer than 0.1° are merged.

Top 10 peaks for 2θ = 5–70°, sorted by position:
2θ 14.69, intensity 4
2θ 18.01, intensity 100
2θ 23.32, intensity 7
2θ 34.88, intensity 49
2θ 36.49, intensity 14
2θ 42.38, intensity 55
2θ 46.40, intensity 12
2θ 56.02, intensity 20
2θ 61.49, intensity 33
2θ 64.64, intensity 15

Cell and atoms:
Cell lengths 8.530, 8.530, 8.530 Å; angles 90.00, 90.00, 90.00 degrees
Fractional positions:
Li 0.004 0.496 0.504
Li 0.246 0.746 0.754
Li 0.254 0.254 0.254
Li 0.496 0.504 0.004
Li 0.504 0.004 0.496
Li 0.746 0.754 0.246
Li 0.754 0.246 0.746
Li 0.996 0.996 0.996
Nb 0.125 0.875 0.375
Nb 0.375 0.125 0.875
Nb 0.625 0.625 0.625
Nb 0.875 0.375 0.125
Cr 0.121 0.129 0.625
Cr 0.125 0.379 0.871
Cr 0.129 0.625 0.121
Cr 0.371 0.375 0.621
Cr 0.375 0.621 0.371
Cr 0.379 0.871 0.125
Cr 0.621 0.371 0.375
Cr 0.625 0.121 0.129
Cr 0.629 0.875 0.879
Cr 0.871 0.125 0.379
Cr 0.875 0.879 0.629
Cr 0.879 0.629 0.875
O 0.111 0.611 0.889
O 0.112 0.386 0.114
O 0.114 0.112 0.386
O 0.114 0.886 0.612
O 0.136 0.638 0.364
O 0.136 0.864 0.138
O 0.138 0.136 0.864
O 0.139 0.361 0.639
O 0.361 0.639 0.139
O 0.362 0.864 0.364
O 0.364 0.136 0.638
O 0.364 0.362 0.864
O 0.386 0.114 0.112
O 0.386 0.888 0.886
O 0.388 0.614 0.614
O 0.389 0.389 0.389
O 0.611 0.889 0.111
O 0.612 0.114 0.886
O 0.614 0.388 0.614
O 0.614 0.614 0.388
O 0.636 0.636 0.862
O 0.636 0.862 0.636
O 0.638 0.364 0.136
O 0.639 0.139 0.361
O 0.861 0.861 0.861
O 0.862 0.636 0.636
O 0.864 0.138 0.136
O 0.864 0.364 0.362
O 0.886 0.386 0.888
O 0.886 0.612 0.114
O 0.888 0.886 0.386
O 0.889 0.111 0.611

***

# 5
The following is a calculated powder X-ray diffraction pattern of Li3Nb2CrO6. It was derived from a structure optimized by DFT (PBE+U), using Cu Kα (weighted mean of Kα1 and Kα2).
Lines closer than 0.1° are merged.

Top 10 peaks for 2θ = 5–70°, sorted by position:
2θ 17.09, intensity 100
2θ 34.58, intensity 9
2θ 34.73, intensity 13
2θ 35.82, intensity 29
2θ 37.01, intensity 13
2θ 41.14, intensity 21
2θ 42.71, intensity 40
2θ 45.74, intensity 13
2θ 59.40, intensity 12
2θ 62.17, intensity 10

Cell and atoms:
Cell lengths 7.015, 7.015, 6.167 Å; angles 106.02, 106.02, 24.00 degrees
Fractional positions:
Li 0.000 0.000 0.000
Li 0.347 0.347 0.663
Li 0.653 0.653 0.337
Nb 0.323 0.323 0.145
Nb 0.677 0.677 0.855
Cr 0.000 0.000 0.500
O 0.155 0.155 0.588
O 0.156 0.156 0.101
O 0.490 0.490 0.265
O 0.510 0.510 0.735
O 0.844 0.844 0.899
O 0.845 0.845 0.412

***

# 6
The following is a calculated powder X-ray diffraction pattern of Li2NbCr3O8. It was derived from a structure optimized by DFT (PBE+U), using Cu Kα (weighted mean of Kα1 and Kα2).
Lines closer than 0.1° are merged.

Top 10 peaks for 2θ = 5–70°, sorted by position:
2θ 19.44, intensity 100
2θ 25.25, intensity 30
2θ 32.82, intensity 38
2θ 35.31, intensity 51
2θ 35.87, intensity 33
2θ 39.48, intensity 22
2θ 44.95, intensity 34
2θ 54.89, intensity 21
2θ 59.83, intensity 32
2θ 62.00, intensity 29

Cell and atoms:
Cell lengths 5.987, 5.987, 9.627 Å; angles 90.00, 90.00, 120.00 degrees
Fractional positions:
Li 0.000 0.000 0.000
Li 0.000 0.000 0.500
Li 0.333 0.667 0.409
Li 0.667 0.333 0.909
Nb 0.333 0.667 0.000
Nb 0.667 0.333 0.500
Cr 0.170 0.340 0.723
Cr 0.170 0.830 0.723
Cr 0.340 0.170 0.223
Cr 0.660 0.830 0.723
Cr 0.830 0.170 0.223
Cr 0.830 0.660 0.223
O 0.000 0.000 0.315
O 0.000 0.000 0.815
O 0.040 0.520 0.849
O 0.167 0.334 0.101
O 0.167 0.833 0.101
O 0.333 0.667 0.616
O 0.334 0.167 0.601
O 0.480 0.520 0.849
O 0.480 0.960 0.849
O 0.520 0.040 0.349
O 0.520 0.480 0.349
O 0.666 0.833 0.101
O 0.667 0.333 0.116
O 0.833 0.167 0.601
O 0.833 0.666 0.601
O 0.960 0.480 0.349

***

# 7
The following is a calculated powder X-ray diffraction pattern of Li2NbCr3O8. It was derived from a structure optimized by DFT (PBE+U), using Cu Kα (weighted mean of Kα1 and Kα2).
Lines closer than 0.1° are merged.

Top 10 peaks for 2θ = 5–70°, sorted by position:
2θ 17.92, intensity 8
2θ 18.03, intensity 100
2θ 34.79, intensity 29
2θ 34.91, intensity 24
2θ 36.53, intensity 11
2θ 42.37, intensity 55
2θ 46.46, intensity 6
2θ 56.04, intensity 14
2θ 61.27, intensity 11
2θ 61.68, intensity 11

Cell and atoms:
Cell lengths 6.015, 6.015, 6.043 Å; angles 119.75, 119.75, 60.16 degrees
Fractional positions:
Li 0.000 0.000 0.000
Li 0.743 0.743 0.229
Nb 0.372 0.372 0.114
Cr 0.371 0.871 0.614
Cr 0.372 0.372 0.614
Cr 0.871 0.371 0.614
O 0.135 0.135 0.858
O 0.135 0.587 0.857
O 0.138 0.138 0.411
O 0.155 0.609 0.370
O 0.587 0.135 0.857
O 0.608 0.608 0.371
O 0.608 0.608 0.821
O 0.609 0.155 0.370

***

# 8
The following is a calculated powder X-ray diffraction pattern of Li4Nb5Cr3O16. It was derived from a structure optimized by DFT (PBE+U), using Cu Kα (weighted mean of Kα1 and Kα2).
Lines closer than 0.1° are merged.

Top 10 peaks for 2θ = 5–70°, sorted by position:
2θ 17.58, intensity 61
2θ 18.69, intensity 49
2θ 18.92, intensity 100
2θ 19.01, intensity 42
2θ 31.51, intensity 38
2θ 33.99, intensity 48
2θ 34.52, intensity 45
2θ 35.14, intensity 70
2θ 43.46, intensity 41
2θ 60.16, intensity 38

Cell and atoms:
Cell lengths 6.154, 6.154, 10.090 Å; angles 90.50, 90.50, 59.09 degrees
Fractional positions:
Li 0.000 0.000 0.000
Li 0.008 0.008 0.502
Li 0.334 0.334 0.921
Li 0.670 0.670 0.406
Nb 0.177 0.177 0.236
Nb 0.351 0.351 0.503
Nb 0.376 0.821 0.727
Nb 0.674 0.674 0.011
Nb 0.821 0.376 0.727
Cr 0.175 0.668 0.222
Cr 0.668 0.175 0.222
Cr 0.843 0.843 0.721
O 0.007 0.007 0.317
O 0.007 0.007 0.816
O 0.037 0.478 0.352
O 0.176 0.176 0.603
O 0.190 0.673 0.602
O 0.331 0.331 0.120
O 0.341 0.848 0.109
O 0.478 0.037 0.352
O 0.479 0.479 0.370
O 0.511 0.960 0.859
O 0.515 0.515 0.865
O 0.673 0.190 0.602
O 0.688 0.688 0.599
O 0.833 0.833 0.093
O 0.848 0.341 0.109
O 0.960 0.511 0.859